Starting from a cell relaxed with PBE, the powder XRD pattern of TbPm2Sn3Rh4 was calculated for Cu Ka.
No peak broadening, texture or thermal motion is included.

Top 10 peaks for 2θ from 10° to 90°, sorted by position:
2θ/deg, I (rel.)
30.95, 439
32.71, 1000
40.99, 589
42.84, 290
44.48, 240
52.23, 204
59.36, 199
62.07, 178
69.45, 226
75.94, 109

Cell and atoms:
abc: 4.404 4.404 11.486
angles: 90.00 90.00 90.00
Element x y z (fractional)
1 Tb 0.000 0.000 0.000
2 Pm 0.000 0.500 0.730
3 Pm 0.500 0.000 0.270
4 Sn 0.000 0.500 0.374
5 Sn 0.500 0.000 0.626
6 Sn 0.500 0.500 0.000
7 Rh 0.000 0.000 0.500
8 Rh 0.000 0.500 0.148
9 Rh 0.500 0.000 0.852
10 Rh 0.500 0.500 0.500